Starting from a cell relaxed with GGA-PBE, the powder X-ray diffraction pattern of CsLi2ThBr8 was simulated for Cu Ka.
No peak broadening, texture or thermal motion is included.

Most intense lines, 10 to 90 degrees two-theta, in order of falling intensity:
| 2θ (°) | I (rel.) |
| --- | --- |
| 29.09 | 100.0 |
| 13.50 | 82.4 |
| 27.68 | 49.4 |
| 13.74 | 44.4 |
| 21.65 | 36.0 |
| 40.10 | 35.0 |
| 22.07 | 34.5 |
| 41.06 | 30.4 |
| 17.12 | 30.2 |
| 16.13 | 26.6 |

Atomic structure:
abc: 7.4913 7.4913 10.3659
angles: 91.86 91.86 61.15
Fractional positions:
1 Cs 0.0000 0.0000 0.0000
2 Li 0.3345 0.3345 0.2690
3 Li 0.6655 0.6655 0.7310
4 Th 0.0000 0.0000 0.5000
5 Br 0.2173 0.2173 0.4636
6 Br 0.2308 0.7188 0.3003
7 Br 0.2801 0.2801 0.0328
8 Br 0.2812 0.7692 0.6997
9 Br 0.7188 0.2308 0.3003
10 Br 0.7199 0.7199 0.9672
11 Br 0.7692 0.2812 0.6997
12 Br 0.7827 0.7827 0.5364

=====

Starting from a cell relaxed with GGA-PBE, the powder X-ray diffraction pattern of FeSbPd was simulated for Cu Ka.
No peak broadening, texture or thermal motion is included.

Most intense lines, 10 to 90 degrees two-theta, in order of falling intensity:
| 2θ (°) | I (rel.) |
| --- | --- |
| 42.73 | 100.0 |
| 39.53 | 85.6 |
| 30.03 | 61.9 |
| 59.61 | 24.6 |
| 76.09 | 23.4 |
| 55.58 | 18.6 |
| 78.25 | 16.0 |
| 53.11 | 12.5 |
| 84.79 | 11.8 |
| 43.25 | 11.0 |

Atomic structure:
abc: 7.2201 7.2201 7.2201
angles: 34.09 34.09 34.09
Fractional positions:
1 Fe 0.0000 0.0000 0.0000
2 Fe 0.2907 0.2907 0.2907
3 Sb 0.4133 0.4133 0.4133
4 Sb 0.5931 0.5931 0.5931
5 Pd 0.1327 0.1327 0.1327
6 Pd 0.8680 0.8680 0.8680